Record 1
This entry pairs a crystal structure of Al2TlPbCl8 with its theoretical powder XRD pattern. Radiation: Cu Kα (weighted mean of Kα1 and Kα2). Structure: a DFT-relaxed cell (GGA-PBE, Alexandria).

Structure:
```
Al2TlPbCl8
1.0
3.288 1.899 10.316
-3.288 1.899 10.316
0.000 -3.797 10.316
Al Tl Pb Cl
2 1 1 8
Cartesian
0.000 0.000 7.432 Al
0.000 0.000 23.515 Al
0.000 0.000 15.473 Tl
0.000 0.000 0.000 Pb
-2.124 -0.212 12.498 Cl
0.000 0.000 5.281 Cl
-0.879 -1.945 18.449 Cl
1.245 -1.734 12.498 Cl
-1.245 1.734 18.449 Cl
0.879 1.945 12.498 Cl
0.000 0.000 25.666 Cl
2.124 0.212 18.449 Cl
```

Principal peaks in the range 15° ≤ 2θ ≤ 90°, sorted by position:
2θ = 16.6°, rel. 57
2θ = 19.4°, rel. 100
2θ = 27.1°, rel. 42
2θ = 27.9°, rel. 40
2θ = 32.3°, rel. 82
2θ = 44.7°, rel. 29

Record 2
This entry pairs a crystal structure of PmNbTe with its theoretical powder XRD pattern. Radiation: Cu Kα (weighted mean of Kα1 and Kα2). Structure: a DFT-relaxed cell (GGA-PBE, Alexandria).

Structure:
```
PmNbTe
1.0
3.923 2.265 4.767
-3.923 2.265 4.767
0.000 -4.530 4.767
Pm Nb Te
3 3 3
Cartesian
-1.542 -1.860 4.767 Pm
-0.840 2.265 4.767 Pm
2.381 -0.405 4.767 Pm
0.000 0.000 0.000 Nb
0.000 0.000 2.437 Nb
0.000 0.000 11.863 Nb
-2.239 0.000 7.150 Te
1.120 -1.939 7.150 Te
1.120 1.939 7.150 Te
```

Principal peaks in the range 15° ≤ 2θ ≤ 90°, sorted by position:
2θ = 27.0°, rel. 39
2θ = 29.5°, rel. 100
2θ = 37.2°, rel. 17
2θ = 37.7°, rel. 26
2θ = 39.8°, rel. 39
2θ = 56.0°, rel. 28